Entry 1:
K2PuF7: computed powder diffraction line list (Cu Kα (λ = 1.5418 Å)), based on the PBE geometry in Alexandria.

Top 10 peaks for 2θ from 15° to 90°, by angle:
| 2θ (°) | d [Å] | Rel. int. | (hkl) |
| --- | --- | --- | --- |
| 15.20 | 5.829 | 1000 | 1 1 0 |
| 15.77 | 5.618 | 401 | 2 0 0 |
| 21.12 | 4.207 | 242 | 2 0 -2 |
| 26.04 | 3.422 | 165 | 1 1 -2 |
| 26.19 | 3.403 | 578 | 3 1 -2 |
| 26.30 | 3.389 | 261 | 0 0 2 |
| 27.17 | 3.283 | 354 | 3 1 0 |
| 29.35 | 3.043 | 143 | 0 2 1 |
| 37.41 | 2.404 | 226 | 0 2 2 |
| 38.78 | 2.322 | 138 | 6 0 -2 |

Crystal structure
```
data_K2PuF7
_space_group_name_H-M_alt 'C 1 2/c 1'
_space_group_IT_number 15
_cell_length_a 13.950
_cell_length_b 6.818
_cell_length_c 8.415
_cell_angle_alpha 90.00
_cell_angle_beta 126.35
_cell_angle_gamma 90.00
loop_
_space_group_symop_operation_xyz
'x,y,z'
'-x,-y,-z'
'-x,y,-z+1/2'
'x,-y,z+1/2'
'x+1/2,y+1/2,z'
'-x+1/2,-y+1/2,-z'
'-x+1/2,y+1/2,-z+1/2'
'x+1/2,-y+1/2,z+1/2'
loop_
_atom_site_label
_atom_site_fract_x
_atom_site_fract_y
_atom_site_fract_z
K1 0.179 0.025 0.261
Pu1 0.000 0.451 0.750
F1 0.000 0.134 0.750
F2 0.078 0.366 0.055
F3 0.112 0.298 0.421
F4 0.175 0.376 0.842
```


Entry 2:
K4ZnP2: computed powder diffraction line list (Cu Kα (λ = 1.5418 Å)), based on the PBE geometry in Alexandria.

Top 10 peaks for 2θ from 15° to 90°, by angle:
| 2θ (°) | d [Å] | Rel. int. | (hkl) |
| --- | --- | --- | --- |
| 15.16 | 5.844 | 918 | 1 0 0 |
| 15.30 | 5.792 | 1000 | 0 2 0 |
| 23.29 | 3.819 | 328 | 1 1 -2 |
| 23.55 | 3.778 | 374 | 0 1 2 |
| 25.62 | 3.477 | 566 | 0 3 1 |
| 27.73 | 3.218 | 532 | 1 3 -1 |
| 30.59 | 2.922 | 635 | 2 0 0 |
| 31.94 | 2.802 | 364 | 1 3 1 |
| 32.27 | 2.774 | 323 | 1 1 2 |
| 36.96 | 2.432 | 311 | 2 3 -1 |

Crystal structure
```
data_K4ZnP2
_space_group_name_H-M_alt 'P 1 21 1'
_space_group_IT_number 4
_cell_length_a 6.263
_cell_length_b 11.584
_cell_length_c 8.565
_cell_angle_alpha 90.00
_cell_angle_beta 111.06
_cell_angle_gamma 90.00
loop_
_space_group_symop_operation_xyz
'x,y,z'
'-x,y+1/2,-z'
loop_
_atom_site_label
_atom_site_fract_x
_atom_site_fract_y
_atom_site_fract_z
K1 0.029 0.000 0.118
K2 0.038 0.564 0.368
K3 0.447 0.333 0.657
K4 0.465 0.715 0.813
Zn1 0.483 0.019 0.747
P1 0.405 0.078 0.484
P2 0.472 0.966 0.993
```


Entry 3:
ZnCdAsO4: computed powder diffraction line list (Cu Kα (λ = 1.5418 Å)), based on the PBE geometry in Alexandria.

Top 10 peaks for 2θ from 15° to 90°, by angle:
| 2θ (°) | d [Å] | Rel. int. | (hkl) |
| --- | --- | --- | --- |
| 17.40 | 5.096 | 280 | 1 0 1 |
| 28.31 | 3.153 | 312 | 1 1 2 |
| 33.02 | 2.713 | 1000 | 1 2 1 |
| 33.24 | 2.695 | 275 | 0 1 3 |
| 33.44 | 2.680 | 553 | 1 0 3 |
| 33.60 | 2.667 | 499 | 2 1 1 |
| 34.47 | 2.602 | 283 | 0 2 2 |
| 40.46 | 2.230 | 438 | 0 0 4 |
| 53.69 | 1.707 | 194 | 3 2 1 |
| 58.56 | 1.576 | 618 | 2 2 4 |

Crystal structure
```
data_ZnCdAsO4
_space_group_name_H-M_alt 'I m m a'
_space_group_IT_number 74
_space_group_name_Hall '-I 2b 2'
_cell_length_a 6.212
_cell_length_b 6.410
_cell_length_c 8.912
_cell_angle_alpha 90.00
_cell_angle_beta 90.00
_cell_angle_gamma 90.00
loop_
_atom_site_label
_atom_site_fract_x
_atom_site_fract_y
_atom_site_fract_z
Zn1 0.250 0.250 0.250
Cd1 0.000 0.000 0.000
As1 0.000 0.250 0.638
O1 0.000 0.027 0.256
O2 0.226 0.250 0.514
```


Entry 4:
Sn2S3O12: computed powder diffraction line list (Cu Kα (λ = 1.5418 Å)), based on the PBE geometry in Alexandria.

Top 10 peaks for 2θ from 15° to 90°, by angle:
| 2θ (°) | d [Å] | Rel. int. | (hkl) |
| --- | --- | --- | --- |
| 18.49 | 4.800 | 1000 | 1 0 4 |
| 20.74 | 4.283 | 553 | 1 1 0 |
| 23.32 | 3.815 | 650 | 2 -1 3 |
| 27.92 | 3.196 | 524 | 0 2 4 |
| 29.81 | 2.997 | 918 | 2 -1 6 |
| 35.03 | 2.561 | 338 | 2 1 4 |
| 36.33 | 2.473 | 398 | 3 0 0 |
| 47.68 | 1.907 | 253 | 4 -2 6 |
| 56.88 | 1.619 | 196 | 1 4 0 |
| 61.38 | 1.510 | 198 | 4 1 6 |

Crystal structure
```
data_Sn2S3O12
_space_group_name_H-M_alt 'R -3'
_space_group_IT_number 148
_space_group_name_Hall '-R 3'
_cell_length_a 8.5667
_cell_length_b 8.5667
_cell_length_c 25.1767
_cell_angle_alpha 90.00
_cell_angle_beta 90.00
_cell_angle_gamma 120.00
loop_
_atom_site_label
_atom_site_fract_x
_atom_site_fract_y
_atom_site_fract_z
Sn1 0.0000 0.0000 0.1385
Sn2 0.0000 0.0000 0.3389
S1 0.0142 0.7002 0.2567
O1 0.0377 0.7804 0.2044
O2 0.0669 0.2361 0.0763
O3 0.0789 0.2305 0.7060
O4 0.0923 0.2261 0.3871
```


Entry 5:
As2SeS2: computed powder diffraction line list (Cu Kα (λ = 1.5418 Å)), based on the PBE geometry in Alexandria.

Top 10 peaks for 2θ from 15° to 90°, by angle:
| 2θ (°) | d [Å] | Rel. int. | (hkl) |
| --- | --- | --- | --- |
| 17.20 | 5.156 | 790 | 1 0 0 |
| 19.33 | 4.593 | 329 | 1 1 -1 |
| 19.49 | 4.556 | 166 | 1 1 0 |
| 27.53 | 3.240 | 443 | 1 1 2 |
| 29.69 | 3.009 | 199 | 0 2 3 |
| 31.37 | 2.851 | 1000 | 1 2 -3 |
| 31.69 | 2.823 | 145 | 0 3 2 |
| 41.80 | 2.161 | 159 | 2 0 2 |
| 48.09 | 1.892 | 140 | 1 1 5 |
| 55.40 | 1.659 | 253 | 3 2 -1 |

Crystal structure
```
data_As2SeS2
_space_group_name_H-M_alt 'P 1 21/c 1'
_space_group_IT_number 14
_cell_length_a 5.322
_cell_length_b 9.725
_cell_length_c 11.859
_cell_angle_alpha 90.00
_cell_angle_beta 104.33
_cell_angle_gamma 90.00
loop_
_space_group_symop_operation_xyz
'x,y,z'
'-x,-y,-z'
'-x,y+1/2,-z+1/2'
'x,-y+1/2,z+1/2'
loop_
_atom_site_label
_atom_site_fract_x
_atom_site_fract_y
_atom_site_fract_z
As1 0.037 0.135 0.275
As2 0.241 0.663 0.977
Se1 0.151 0.075 0.661
S1 0.026 0.711 0.585
S2 0.333 0.653 0.369
```


Entry 6:
Tb4Ho3Tm3: computed powder diffraction line list (Cu Kα (λ = 1.5418 Å)), based on the PBE geometry in Alexandria.

Top 10 peaks for 2θ from 15° to 90°, by angle:
| 2θ (°) | d [Å] | Rel. int. | (hkl) |
| --- | --- | --- | --- |
| 27.47 | 3.247 | 121 | 0 4 0 |
| 30.79 | 2.904 | 628 | 0 4 2 |
| 31.04 | 2.881 | 277 | 1 2 2 |
| 32.57 | 2.749 | 1000 | 1 1 3 |
| 35.24 | 2.547 | 92 | 0 1 5 |
| 47.66 | 1.908 | 126 | 1 5 3 |
| 49.24 | 1.850 | 118 | 2 0 0 |
| 56.86 | 1.619 | 145 | 1 4 6 |
| 59.21 | 1.561 | 198 | 2 4 2 |
| 59.71 | 1.549 | 178 | 1 7 3 |

Crystal structure
```
data_Tb4Ho3Tm3
_space_group_name_H-M_alt 'A m m 2'
_space_group_IT_number 38
_cell_length_a 3.701
_cell_length_b 12.981
_cell_length_c 12.991
_cell_angle_alpha 90.00
_cell_angle_beta 90.00
_cell_angle_gamma 90.00
loop_
_space_group_symop_operation_xyz
'x,y,z'
'-x,-y,z'
'-x,y,z'
'x,-y,z'
'x,y+1/2,z+1/2'
'-x,-y+1/2,z+1/2'
'-x,y+1/2,z+1/2'
'x,-y+1/2,z+1/2'
loop_
_atom_site_label
_atom_site_fract_x
_atom_site_fract_y
_atom_site_fract_z
Tb1 0.000 0.000 0.000
Tb2 0.000 0.000 0.258
Tb3 0.000 0.129 0.630
Ho1 0.500 0.000 0.459
Ho2 0.500 0.170 0.129
Tm1 0.000 0.249 0.879
Tm2 0.500 0.000 0.799
```